The following is a simulated powder X-ray diffraction pattern of NaIn2Au. It was derived from a cell relaxed with GGA-PBE, using a wavelength of 1.5418 Å.
No peak broadening, texture or thermal motion is included.

Atomic structure:
a = 4.7910 Å, b = 4.7910 Å, c = 15.1713 Å
α = 90.00°, β = 90.00°, γ = 120.00°
Fractional coordinates of all 12 atoms:
Na  0.0000  0.0000  0.0000
Na  0.3333  0.6667  0.6667
Na  0.6667  0.3333  0.3333
In  0.0000  0.0000  0.5669
In  0.0000  0.0000  0.7835
In  0.3333  0.6667  0.2336
In  0.3333  0.6667  0.4502
In  0.6667  0.3333  0.1168
In  0.6667  0.3333  0.9002
Au  0.0000  0.0000  0.1926
Au  0.3333  0.6667  0.8593
Au  0.6667  0.3333  0.5259

Largest 6 diffraction maxima, by angle, 2θ = 10–90°:
- 2θ = 17.5°, rel. 80
- 2θ = 24.5°, rel. 75
- 2θ = 36.7°, rel. 94
- 2θ = 37.5°, rel. 100
- 2θ = 41.7°, rel. 55
- 2θ = 53.5°, rel. 31